# 1
Starting from a PBE-relaxed structure, the X-ray diffraction stick pattern of NbIr was simulated for a wavelength of 1.5418 Å.

Largest 10 diffraction maxima, by angle, 10° ≤ 2θ ≤ 90°:
| d_spacing | I/Imax |
| --- | --- |
| 2.410 | 26 |
| 2.333 | 57 |
| 2.317 | 64 |
| 2.308 | 31 |
| 2.185 | 100 |
| 2.017 | 38 |
| 2.001 | 21 |
| 1.418 | 28 |
| 1.220 | 25 |
| 1.210 | 30 |

Atomic structure:
```
data_NbIr
_chemical_formula_sum 'Nb6 Ir6'
_cell_length_a 13.9016
_cell_length_b 2.8723
_cell_length_c 4.8945
_cell_angle_alpha 90.00
_cell_angle_beta 90.00
_cell_angle_gamma 90.00
_space_group_name_H-M_alt 'P 1'
_space_group_IT_number 1
loop_
_space_group_symop_operation_xyz
'x,y,z'
loop_
_atom_site_label
_atom_site_type_symbol
_atom_site_fract_x
_atom_site_fract_y
_atom_site_fract_z
Nb1 Nb 0.0845 0.0000 0.1767
Nb2 Nb 0.2500 0.0000 0.5442
Nb3 Nb 0.4155 0.0000 0.1767
Nb4 Nb 0.5845 0.0000 0.8233
Nb5 Nb 0.7500 0.0000 0.4558
Nb6 Nb 0.9155 0.0000 0.8233
Ir1 Ir 0.0834 0.5000 0.6780
Ir2 Ir 0.2500 0.5000 0.0381
Ir3 Ir 0.4166 0.5000 0.6780
Ir4 Ir 0.5834 0.5000 0.3220
Ir5 Ir 0.7500 0.5000 0.9619
Ir6 Ir 0.9166 0.5000 0.3220
```

# 2
Starting from a PBE-relaxed structure, the X-ray diffraction stick pattern of Nb17Ir3S40 was simulated for a wavelength of 1.5418 Å.

Largest 10 diffraction maxima, by angle, 10° ≤ 2θ ≤ 90°:
| d_spacing | I/Imax |
| --- | --- |
| 6.181 | 100 |
| 2.963 | 14 |
| 2.666 | 52 |
| 2.652 | 25 |
| 2.144 | 19 |
| 2.134 | 31 |
| 2.112 | 8 |
| 1.719 | 8 |
| 1.695 | 25 |
| 1.442 | 7 |

Atomic structure:
```
data_Nb17Ir3S40
_chemical_formula_sum 'Nb17 Ir3 S40'
_cell_length_a 19.1178
_cell_length_b 19.1178
_cell_length_c 24.7261
_cell_angle_alpha 129.70
_cell_angle_beta 129.70
_cell_angle_gamma 10.32
_space_group_name_H-M_alt 'P 1'
_space_group_IT_number 1
loop_
_space_group_symop_operation_xyz
'x,y,z'
loop_
_atom_site_label
_atom_site_type_symbol
_atom_site_fract_x
_atom_site_fract_y
_atom_site_fract_z
Nb1 Nb 0.0000 0.0000 0.0000
Nb2 Nb 0.0001 0.0001 0.2500
Nb3 Nb 0.9999 0.9999 0.7500
Nb4 Nb 0.2001 0.2001 0.4509
Nb5 Nb 0.2004 0.2004 0.9501
Nb6 Nb 0.2096 0.2096 0.7093
Nb7 Nb 0.3996 0.3996 0.1502
Nb8 Nb 0.3998 0.3998 0.6494
Nb9 Nb 0.4093 0.4093 0.4100
Nb10 Nb 0.4088 0.4088 0.9061
Nb11 Nb 0.5912 0.5912 0.0939
Nb12 Nb 0.5907 0.5907 0.5900
Nb13 Nb 0.6002 0.6002 0.3506
Nb14 Nb 0.6004 0.6004 0.8498
Nb15 Nb 0.7904 0.7904 0.2907
Nb16 Nb 0.7996 0.7996 0.0499
Nb17 Nb 0.7999 0.7999 0.5491
Ir1 Ir 0.0000 0.0000 0.5000
Ir2 Ir 0.2080 0.2080 0.2062
Ir3 Ir 0.7920 0.7920 0.7938
S1 S 0.0636 0.0636 0.6277
S2 S 0.0664 0.0664 0.3789
S3 S 0.0667 0.0667 0.1336
S4 S 0.0668 0.0668 0.8784
S5 S 0.1317 0.1317 0.5757
S6 S 0.1337 0.1337 0.3221
S7 S 0.1338 0.1338 0.8211
S8 S 0.1365 0.1365 0.0849
S9 S 0.2663 0.2663 0.0787
S10 S 0.2662 0.2662 0.3319
S11 S 0.2671 0.2671 0.5788
S12 S 0.2683 0.2683 0.8329
S13 S 0.3293 0.3293 0.7789
S14 S 0.3336 0.3336 0.0221
S15 S 0.3339 0.3339 0.2791
S16 S 0.3336 0.3336 0.5208
S17 S 0.4665 0.4665 0.2783
S18 S 0.4663 0.4663 0.7782
S19 S 0.4675 0.4675 0.0320
S20 S 0.4725 0.4725 0.5342
S21 S 0.5275 0.5275 0.4658
S22 S 0.5325 0.5325 0.9680
S23 S 0.5337 0.5337 0.2218
S24 S 0.5335 0.5335 0.7217
S25 S 0.6664 0.6664 0.4792
S26 S 0.6661 0.6661 0.7209
S27 S 0.6664 0.6664 0.9779
S28 S 0.6707 0.6707 0.2211
S29 S 0.7317 0.7317 0.1671
S30 S 0.7329 0.7329 0.4212
S31 S 0.7338 0.7338 0.6681
S32 S 0.7337 0.7337 0.9213
S33 S 0.8635 0.8635 0.9151
S34 S 0.8662 0.8662 0.1789
S35 S 0.8663 0.8663 0.6779
S36 S 0.8683 0.8683 0.4243
S37 S 0.9332 0.9332 0.1216
S38 S 0.9333 0.9333 0.8664
S39 S 0.9336 0.9336 0.6211
S40 S 0.9364 0.9364 0.3723
```

# 3
Starting from a PBE-relaxed structure, the X-ray diffraction stick pattern of Nb15IrS32 was simulated for a wavelength of 1.5418 Å.

Largest 10 diffraction maxima, by angle, 10° ≤ 2θ ≤ 90°:
| d_spacing | I/Imax |
| --- | --- |
| 6.157 | 100 |
| 2.950 | 13 |
| 2.664 | 32 |
| 2.654 | 59 |
| 2.132 | 21 |
| 2.127 | 41 |
| 1.701 | 7 |
| 1.697 | 7 |
| 1.686 | 7 |
| 1.683 | 14 |

Atomic structure:
```
data_Nb15IrS32
_chemical_formula_sum 'Nb15 Ir1 S32'
_cell_length_a 8.9955
_cell_length_b 9.0157
_cell_length_c 13.6421
_cell_angle_alpha 106.25
_cell_angle_beta 106.36
_cell_angle_gamma 98.51
_space_group_name_H-M_alt 'P 1'
_space_group_IT_number 1
loop_
_space_group_symop_operation_xyz
'x,y,z'
loop_
_atom_site_label
_atom_site_type_symbol
_atom_site_fract_x
_atom_site_fract_y
_atom_site_fract_z
Nb1 Nb 0.0000 0.0000 0.0000
Nb2 Nb 0.0005 0.5395 0.4986
Nb3 Nb 0.1127 0.9049 0.4992
Nb4 Nb 0.1280 0.4087 0.0007
Nb5 Nb 0.2253 0.2641 0.4997
Nb6 Nb 0.2328 0.7614 0.9986
Nb7 Nb 0.3618 0.1108 0.9974
Nb8 Nb 0.3851 0.6226 0.4999
Nb9 Nb 0.5026 0.9834 0.5026
Nb10 Nb 0.5142 0.5320 0.0019
Nb11 Nb 0.6135 0.3764 0.5027
Nb12 Nb 0.6412 0.8801 0.0003
Nb13 Nb 0.7455 0.2318 0.9985
Nb14 Nb 0.7521 0.7602 0.4986
Nb15 Nb 0.8749 0.6432 0.9988
Ir1 Ir 0.8987 0.1217 0.5003
S1 S 0.0199 0.2785 0.1210
S2 S 0.0252 0.7907 0.6309
S3 S 0.1061 0.1186 0.8794
S4 S 0.1084 0.6219 0.3764
S5 S 0.1447 0.6619 0.1313
S6 S 0.1519 0.1625 0.6357
S7 S 0.2317 0.4934 0.8741
S8 S 0.2350 0.9951 0.3800
S9 S 0.2673 0.5357 0.6261
S10 S 0.2689 0.0311 0.1316
S11 S 0.3496 0.3542 0.3727
S12 S 0.3555 0.8579 0.8747
S13 S 0.3922 0.4010 0.1154
S14 S 0.3962 0.9007 0.6250
S15 S 0.4750 0.7312 0.3696
S16 S 0.4827 0.2413 0.8838
S17 S 0.5134 0.2738 0.6208
S18 S 0.5183 0.7839 0.1242
S19 S 0.6056 0.6110 0.8670
S20 S 0.6281 0.1150 0.3887
S21 S 0.6430 0.1487 0.1258
S22 S 0.6549 0.6510 0.6259
S23 S 0.7256 0.4902 0.3749
S24 S 0.7293 0.9798 0.8671
S25 S 0.7694 0.5240 0.1205
S26 S 0.7796 0.0350 0.6230
S27 S 0.8523 0.8627 0.3679
S28 S 0.8542 0.3637 0.8790
S29 S 0.8952 0.3854 0.6080
S30 S 0.9004 0.9074 0.1321
S31 S 0.9682 0.2417 0.3761
S32 S 0.9741 0.7351 0.8664
```

# 4
Starting from a PBE-relaxed structure, the X-ray diffraction stick pattern of Nb15IrS32 was simulated for a wavelength of 1.5418 Å.

Largest 10 diffraction maxima, by angle, 10° ≤ 2θ ≤ 90°:
| d_spacing | I/Imax |
| --- | --- |
| 6.352 | 100 |
| 2.928 | 12 |
| 2.668 | 27 |
| 2.659 | 53 |
| 2.155 | 37 |
| 2.152 | 21 |
| 1.718 | 8 |
| 1.716 | 15 |
| 1.695 | 13 |
| 1.637 | 9 |

Atomic structure:
```
data_Nb15IrS32
_chemical_formula_sum 'Nb15 Ir1 S32'
_cell_length_a 8.9523
_cell_length_b 8.9523
_cell_length_c 13.9969
_cell_angle_alpha 106.00
_cell_angle_beta 106.00
_cell_angle_gamma 97.92
_space_group_name_H-M_alt 'P 1'
_space_group_IT_number 1
loop_
_space_group_symop_operation_xyz
'x,y,z'
loop_
_atom_site_label
_atom_site_type_symbol
_atom_site_fract_x
_atom_site_fract_y
_atom_site_fract_z
Nb1 Nb 0.0000 0.0000 0.0000
Nb2 Nb 0.0000 0.5000 0.5000
Nb3 Nb 0.1139 0.3559 0.9977
Nb4 Nb 0.1344 0.8656 0.5000
Nb5 Nb 0.2472 0.2472 0.5000
Nb6 Nb 0.2743 0.7257 0.0000
Nb7 Nb 0.3559 0.1139 0.9977
Nb8 Nb 0.3816 0.6184 0.5000
Nb9 Nb 0.5000 0.0000 0.5000
Nb10 Nb 0.6184 0.3816 0.5000
Nb11 Nb 0.6441 0.8861 0.0023
Nb12 Nb 0.7257 0.2743 0.0000
Nb13 Nb 0.7528 0.7528 0.5000
Nb14 Nb 0.8656 0.1344 0.5000
Nb15 Nb 0.8861 0.6441 0.0023
Ir1 Ir 0.5000 0.5000 0.0000
S1 S 0.0238 0.0238 0.3822
S2 S 0.0264 0.5244 0.8809
S3 S 0.1017 0.3523 0.6221
S4 S 0.1108 0.8516 0.1213
S5 S 0.1477 0.3971 0.3786
S6 S 0.1484 0.8892 0.8787
S7 S 0.2287 0.2287 0.1262
S8 S 0.2295 0.7253 0.6229
S9 S 0.2747 0.7705 0.3771
S10 S 0.2774 0.2774 0.8835
S11 S 0.3523 0.1017 0.6221
S12 S 0.3610 0.5942 0.1229
S13 S 0.3971 0.1477 0.3786
S14 S 0.4058 0.6390 0.8771
S15 S 0.4756 0.9736 0.1191
S16 S 0.4785 0.4785 0.6249
S17 S 0.5215 0.5215 0.3751
S18 S 0.5244 0.0264 0.8809
S19 S 0.5942 0.3610 0.1229
S20 S 0.6029 0.8523 0.6214
S21 S 0.6390 0.4058 0.8771
S22 S 0.6477 0.8983 0.3779
S23 S 0.7226 0.7226 0.1165
S24 S 0.7253 0.2295 0.6229
S25 S 0.7705 0.2747 0.3771
S26 S 0.7713 0.7713 0.8738
S27 S 0.8516 0.1108 0.1213
S28 S 0.8523 0.6029 0.6214
S29 S 0.8892 0.1484 0.8787
S30 S 0.8983 0.6477 0.3779
S31 S 0.9736 0.4756 0.1191
S32 S 0.9762 0.9762 0.6178
```

# 5
Starting from a PBE-relaxed structure, the X-ray diffraction stick pattern of NbIrS4 was simulated for a wavelength of 1.5418 Å.

Largest 10 diffraction maxima, by angle, 10° ≤ 2θ ≤ 90°:
| d_spacing | I/Imax |
| --- | --- |
| 6.240 | 100 |
| 2.967 | 18 |
| 2.702 | 8 |
| 2.658 | 44 |
| 2.589 | 21 |
| 2.173 | 18 |
| 2.127 | 30 |
| 1.720 | 13 |
| 1.686 | 9 |
| 1.645 | 11 |

Atomic structure:
```
data_NbIrS4
_chemical_formula_sum 'Nb1 Ir1 S4'
_cell_length_a 6.9644
_cell_length_b 6.9644
_cell_length_c 5.5934
_cell_angle_alpha 111.47
_cell_angle_beta 111.47
_cell_angle_gamma 29.12
_space_group_name_H-M_alt 'P 1'
_space_group_IT_number 1
loop_
_space_group_symop_operation_xyz
'x,y,z'
loop_
_atom_site_label
_atom_site_type_symbol
_atom_site_fract_x
_atom_site_fract_y
_atom_site_fract_z
Nb1 Nb 0.0000 0.0000 0.0000
Ir1 Ir 0.5000 0.5000 0.5000
S1 S 0.1165 0.1165 0.4619
S2 S 0.3783 0.3783 0.0538
S3 S 0.6217 0.6217 0.9462
S4 S 0.8835 0.8835 0.5381
```

# 6
Starting from a PBE-relaxed structure, the X-ray diffraction stick pattern of Nb4IrSe10 was simulated for a wavelength of 1.5418 Å.

Largest 10 diffraction maxima, by angle, 10° ≤ 2θ ≤ 90°:
| d_spacing | I/Imax |
| --- | --- |
| 6.761 | 100 |
| 2.819 | 46 |
| 2.781 | 39 |
| 2.762 | 46 |
| 2.286 | 31 |
| 2.269 | 28 |
| 2.251 | 29 |
| 1.825 | 14 |
| 1.816 | 13 |
| 1.779 | 24 |

Atomic structure:
```
data_Nb4IrSe10
_chemical_formula_sum 'Nb4 Ir1 Se10'
_cell_length_a 6.0802
_cell_length_b 7.6284
_cell_length_c 9.1239
_cell_angle_alpha 66.98
_cell_angle_beta 71.02
_cell_angle_gamma 88.88
_space_group_name_H-M_alt 'P 1'
_space_group_IT_number 1
loop_
_space_group_symop_operation_xyz
'x,y,z'
loop_
_atom_site_label
_atom_site_type_symbol
_atom_site_fract_x
_atom_site_fract_y
_atom_site_fract_z
Nb1 Nb 0.1725 0.1952 0.2955
Nb2 Nb 0.2619 0.5912 0.9092
Nb3 Nb 0.7381 0.4088 0.0908
Nb4 Nb 0.8275 0.8048 0.7045
Ir1 Ir 0.5000 0.0000 0.5000
Se1 Se 0.0053 0.4546 0.7935
Se2 Se 0.1772 0.9376 0.7795
Se3 Se 0.2131 0.8456 0.4203
Se4 Se 0.4076 0.3471 0.4039
Se5 Se 0.4323 0.2552 0.9977
Se6 Se 0.5677 0.7448 0.0023
Se7 Se 0.5924 0.6529 0.5961
Se8 Se 0.7869 0.1544 0.5797
Se9 Se 0.8228 0.0624 0.2205
Se10 Se 0.9947 0.5454 0.2065
```

# 7
Starting from a PBE-relaxed structure, the X-ray diffraction stick pattern of Nb17Ir3Se40 was simulated for a wavelength of 1.5418 Å.

Largest 10 diffraction maxima, by angle, 10° ≤ 2θ ≤ 90°:
| d_spacing | I/Imax |
| --- | --- |
| 6.728 | 100 |
| 2.781 | 45 |
| 2.764 | 99 |
| 2.275 | 47 |
| 2.245 | 34 |
| 1.818 | 28 |
| 1.767 | 16 |
| 1.749 | 24 |
| 1.682 | 14 |
| 1.491 | 13 |

Atomic structure:
```
data_Nb17Ir3Se40
_chemical_formula_sum 'Nb17 Ir3 Se40'
_cell_length_a 20.0554
_cell_length_b 20.0554
_cell_length_c 26.9195
_cell_angle_alpha 130.71
_cell_angle_beta 130.71
_cell_angle_gamma 10.11
_space_group_name_H-M_alt 'P 1'
_space_group_IT_number 1
loop_
_space_group_symop_operation_xyz
'x,y,z'
loop_
_atom_site_label
_atom_site_type_symbol
_atom_site_fract_x
_atom_site_fract_y
_atom_site_fract_z
Nb1 Nb 0.0000 0.0000 0.0000
Nb2 Nb 0.0077 0.0077 0.7585
Nb3 Nb 0.1924 0.1924 0.9422
Nb4 Nb 0.2048 0.2048 0.4554
Nb5 Nb 0.2107 0.2107 0.7105
Nb6 Nb 0.3923 0.3923 0.6414
Nb7 Nb 0.3998 0.3998 0.1503
Nb8 Nb 0.4110 0.4110 0.9080
Nb9 Nb 0.4130 0.4130 0.4132
Nb10 Nb 0.5870 0.5870 0.5868
Nb11 Nb 0.5890 0.5890 0.0920
Nb12 Nb 0.6002 0.6002 0.8497
Nb13 Nb 0.6077 0.6077 0.3586
Nb14 Nb 0.7893 0.7893 0.2895
Nb15 Nb 0.7952 0.7952 0.5446
Nb16 Nb 0.8076 0.8076 0.0578
Nb17 Nb 0.9923 0.9923 0.2415
Ir1 Ir 0.0000 0.0000 0.5000
Ir2 Ir 0.2088 0.2088 0.2060
Ir3 Ir 0.7912 0.7912 0.7940
Se1 Se 0.0627 0.0627 0.6277
Se2 Se 0.0645 0.0645 0.1324
Se3 Se 0.0658 0.0658 0.3733
Se4 Se 0.0684 0.0684 0.8829
Se5 Se 0.1321 0.1321 0.5782
Se6 Se 0.1321 0.1321 0.8169
Se7 Se 0.1363 0.1363 0.0848
Se8 Se 0.1358 0.1358 0.3230
Se9 Se 0.2649 0.2649 0.3301
Se10 Se 0.2655 0.2655 0.0725
Se11 Se 0.2674 0.2674 0.5819
Se12 Se 0.2674 0.2674 0.8328
Se13 Se 0.3311 0.3311 0.7829
Se14 Se 0.3315 0.3315 0.5172
Se15 Se 0.3348 0.3348 0.0203
Se16 Se 0.3363 0.3363 0.2825
Se17 Se 0.4654 0.4654 0.7724
Se18 Se 0.4657 0.4657 0.2797
Se19 Se 0.4665 0.4665 0.0317
Se20 Se 0.4728 0.4728 0.5356
Se21 Se 0.5272 0.5272 0.4644
Se22 Se 0.5335 0.5335 0.9683
Se23 Se 0.5343 0.5343 0.7203
Se24 Se 0.5346 0.5346 0.2276
Se25 Se 0.6637 0.6637 0.7175
Se26 Se 0.6652 0.6652 0.9797
Se27 Se 0.6685 0.6685 0.4828
Se28 Se 0.6689 0.6689 0.2171
Se29 Se 0.7326 0.7326 0.1672
Se30 Se 0.7326 0.7326 0.4181
Se31 Se 0.7345 0.7345 0.9275
Se32 Se 0.7351 0.7351 0.6699
Se33 Se 0.8642 0.8642 0.6770
Se34 Se 0.8637 0.8637 0.9152
Se35 Se 0.8679 0.8679 0.1831
Se36 Se 0.8679 0.8679 0.4218
Se37 Se 0.9316 0.9316 0.1171
Se38 Se 0.9342 0.9342 0.6267
Se39 Se 0.9355 0.9355 0.8676
Se40 Se 0.9373 0.9373 0.3723
```

# 8
Starting from a PBE-relaxed structure, the X-ray diffraction stick pattern of Nb3IrSe8 was simulated for a wavelength of 1.5418 Å.

Largest 10 diffraction maxima, by angle, 10° ≤ 2θ ≤ 90°:
| d_spacing | I/Imax |
| --- | --- |
| 6.833 | 70 |
| 2.718 | 100 |
| 2.241 | 35 |
| 2.236 | 34 |
| 1.809 | 10 |
| 1.804 | 20 |
| 1.711 | 29 |
| 1.659 | 10 |
| 1.448 | 14 |
| 1.243 | 11 |

Atomic structure:
```
data_Nb3IrSe8
_chemical_formula_sum 'Nb3 Ir1 Se8'
_cell_length_a 6.8410
_cell_length_b 6.8410
_cell_length_c 9.0257
_cell_angle_alpha 124.45
_cell_angle_beta 124.45
_cell_angle_gamma 60.04
_space_group_name_H-M_alt 'P 1'
_space_group_IT_number 1
loop_
_space_group_symop_operation_xyz
'x,y,z'
loop_
_atom_site_label
_atom_site_type_symbol
_atom_site_fract_x
_atom_site_fract_y
_atom_site_fract_z
Nb1 Nb 0.0000 0.0000 0.0000
Nb2 Nb 0.0000 0.5000 0.0000
Nb3 Nb 0.5000 0.0000 0.0000
Ir1 Ir 0.5000 0.5000 0.0000
Se1 Se 0.0427 0.0427 0.7506
Se2 Se 0.0553 0.5376 0.7523
Se3 Se 0.4624 0.9447 0.2477
Se4 Se 0.4628 0.4628 0.2483
Se5 Se 0.5372 0.5372 0.7517
Se6 Se 0.5376 0.0553 0.7523
Se7 Se 0.9447 0.4624 0.2477
Se8 Se 0.9573 0.9573 0.2494
```